(1)
The following is a calculated PXRD pattern of Zr6Mn2Pt. It was derived from a PBE-relaxed structure, using Cu Kα X-rays.
Lines closer than 0.1° are merged.

Largest 10 diffraction maxima, by angle, 5 to 70 degrees two-theta:
d/Å, Rel. int., hkl
4.402, 16, 2 0 0
2.783, 28, 3 1 0
2.571, 100, 2 2 2
2.407, 22, 2 1 3
2.378, 60, 1 3 2
2.359, 40, 2 3 1
2.281, 16, 0 0 4
2.201, 37, 4 0 0
2.142, 17, 1 1 4
1.433, 22, 5 3 2

Atomic structure:
Cell: 8.7983 8.8126 9.1240 Å, 90.00 90.00 90.00°
Space group Immm (No. 71)
Unique sites:
Zr1 0.0000 0.1967 0.2460
Zr2 0.1947 0.5000 0.1739
Zr3 0.2247 0.3120 0.5000
Mn1 0.0000 0.3394 0.0000
Mn2 0.0000 0.5000 0.3893
Pt1 0.0000 0.0000 0.0000
Pt2 0.0000 0.0000 0.5000

=====

(2)
The following is a calculated PXRD pattern of ZrMnPt2. It was derived from a PBE-relaxed structure, using Cu Kα X-rays.
Lines closer than 0.1° are merged.

Largest 10 diffraction maxima, by angle, 5 to 70 degrees two-theta:
d/Å, Rel. int., hkl
3.581, 30, 1 0 1
2.331, 100, 1 1 2
2.291, 10, 1 0 3
2.108, 19, 0 0 4
1.978, 31, 2 0 0
1.731, 9, 2 1 1
1.552, 3, 1 0 5
1.497, 5, 2 1 3
1.442, 22, 2 0 4
1.398, 10, 2 2 0

Atomic structure:
Cell: 3.9551 3.9551 8.4339 Å, 90.00 90.00 90.00°
Space group I-4m2 (No. 119)
Unique sites:
Zr1 0.0000 0.0000 0.0000
Mn1 0.0000 0.5000 0.2500
Pt1 0.0000 0.0000 0.5000
Pt2 0.0000 0.5000 0.7500

=====

(3)
The following is a calculated PXRD pattern of PuMn6. It was derived from a PBE-relaxed structure, using Cu Kα X-rays.
Lines closer than 0.1° are merged.

Largest 10 diffraction maxima, by angle, 5 to 70 degrees two-theta:
d/Å, Rel. int., hkl
4.297, 23, 1 1 0
3.038, 43, 2 0 0
2.481, 100, 2 1 1
2.148, 4, 2 2 0
1.922, 6, 3 1 0
1.754, 1, 2 2 2
1.624, 54, 3 2 1
1.519, 14, 4 0 0
1.432, 4, 4 1 1
1.359, 15, 4 2 0

Atomic structure:
Cell: 6.0764 6.0764 6.0764 Å, 90.00 90.00 90.00°
Space group Im-3m (No. 229)
Unique sites:
Pu1 0.0000 0.0000 0.0000
Mn1 0.0000 0.2500 0.5000

=====

(4)
The following is a calculated PXRD pattern of Pu3Mn4. It was derived from a PBE-relaxed structure, using Cu Kα X-rays.
Lines closer than 0.1° are merged.

Largest 10 diffraction maxima, by angle, 5 to 70 degrees two-theta:
d/Å, Rel. int., hkl
3.209, 100, 2 1 1
2.779, 13, 2 2 0
2.485, 86, 3 1 0
2.101, 67, 3 2 1
1.758, 40, 4 2 0
1.676, 25, 3 3 2
1.604, 8, 4 2 2
1.541, 27, 4 3 1
1.435, 13, 5 2 1
1.389, 1, 4 4 0

Atomic structure:
Cell: 7.8598 7.8598 7.8598 Å, 90.00 90.00 90.00°
Space group I-43d (No. 220)
Unique sites:
Pu1 0.0000 0.2500 0.3750
Mn1 0.0921 0.0921 0.0921